# SrSb2O6
Simulated PXRD pattern, copper Kα. Input: a PBE-relaxed structure.

Top 12 peaks for 2θ = 10–90°, in order of rising 2θ:
- 2θ = 16.22°, intensity 35
- 2θ = 25.19°, intensity 100
- 2θ = 32.78°, intensity 11
- 2θ = 33.48°, intensity 42
- 2θ = 37.41°, intensity 20
- 2θ = 42.35°, intensity 22
- 2θ = 47.56°, intensity 52
- 2θ = 54.10°, intensity 10
- 2θ = 55.03°, intensity 22
- 2θ = 59.85°, intensity 15
- 2θ = 69.94°, intensity 9
- 2θ = 79.80°, intensity 10

Crystal structure
```
SrSb2O6
1.0
5.354 0.000 0.000
-2.677 4.636 0.000
0.000 0.000 5.463
Sr Sb O
1 2 6
Cartesian
0.000 0.000 0.000
0.000 3.091 2.732
2.677 1.545 2.732
-1.010 1.749 1.606
-1.667 2.888 3.858
2.019 0.000 1.606
1.010 1.749 3.858
3.334 0.000 3.858
1.667 2.888 1.606
```

# TaSbO4
Simulated PXRD pattern, copper Kα. Input: a PBE-relaxed structure.

Top 12 peaks for 2θ = 10–90°, in order of rising 2θ:
- 2θ = 17.58°, intensity 100
- 2θ = 17.83°, intensity 57
- 2θ = 21.78°, intensity 44
- 2θ = 23.60°, intensity 13
- 2θ = 26.75°, intensity 18
- 2θ = 28.13°, intensity 13
- 2θ = 32.23°, intensity 14
- 2θ = 35.57°, intensity 16
- 2θ = 35.96°, intensity 15
- 2θ = 36.11°, intensity 18
- 2θ = 38.18°, intensity 15
- 2θ = 44.40°, intensity 15

Crystal structure
```
TaSbO4
1.0
5.775 0.000 0.000
0.000 20.177 0.000
0.000 0.000 5.133
Ta Sb O
4 4 16
Cartesian
1.444 0.000 0.046
1.444 10.089 2.521
4.331 0.000 5.087
4.331 10.089 2.613
0.612 5.044 3.850
2.276 15.133 3.850
3.499 5.044 1.283
5.163 15.133 1.283
0.038 11.007 3.493
0.038 19.259 4.207
0.853 14.563 0.019
0.853 15.703 2.548
2.035 4.474 2.548
2.035 5.614 0.019
2.849 0.919 4.207
2.849 9.170 3.493
2.926 11.007 1.640
2.926 19.259 0.926
3.741 14.563 5.114
3.741 15.703 2.586
4.922 4.474 2.586
4.922 5.614 5.114
5.737 0.919 0.926
5.737 9.170 1.640
```

# TaSbO4
Simulated PXRD pattern, copper Kα. Input: a PBE-relaxed structure.

Top 12 peaks for 2θ = 10–90°, in order of rising 2θ:
- 2θ = 16.08°, intensity 100
- 2θ = 25.57°, intensity 28
- 2θ = 30.35°, intensity 29
- 2θ = 32.48°, intensity 14
- 2θ = 33.10°, intensity 41
- 2θ = 40.58°, intensity 32
- 2θ = 41.79°, intensity 10
- 2θ = 50.07°, intensity 17
- 2θ = 52.91°, intensity 15
- 2θ = 55.69°, intensity 16
- 2θ = 65.97°, intensity 10
- 2θ = 80.08°, intensity 9

Crystal structure
```
TaSbO4
1.0
3.484 -5.513 0.000
3.484 5.513 0.000
0.000 0.000 6.094
Ta Sb O
2 2 8
Cartesian
0.000 0.000 0.000
0.000 0.000 3.047
3.484 0.046 4.570
3.484 -0.046 1.523
1.291 0.085 4.570
1.291 -0.085 1.523
3.484 1.306 0.037
3.484 1.306 3.010
3.484 -1.306 3.084
3.484 -1.306 6.057
5.677 0.085 4.570
5.677 -0.085 1.523
```

# TaSbO4
Simulated PXRD pattern, copper Kα. Input: a PBE-relaxed structure.

Top 12 peaks for 2θ = 10–90°, in order of rising 2θ:
- 2θ = 14.83°, intensity 10
- 2θ = 24.85°, intensity 42
- 2θ = 28.06°, intensity 100
- 2θ = 29.91°, intensity 30
- 2θ = 32.72°, intensity 30
- 2θ = 35.61°, intensity 12
- 2θ = 47.17°, intensity 16
- 2θ = 49.10°, intensity 15
- 2θ = 51.98°, intensity 30
- 2θ = 53.98°, intensity 12
- 2θ = 59.45°, intensity 12
- 2θ = 61.15°, intensity 10

Crystal structure
```
TaSbO4
1.0
5.630 0.000 0.000
0.000 11.949 0.000
0.000 0.000 5.043
Ta Sb O
4 4 16
Cartesian
0.723 2.987 1.261
2.093 8.961 1.261
3.538 2.987 3.782
4.908 8.961 3.782
1.408 0.000 3.501
1.408 5.974 4.063
4.223 0.000 1.542
4.223 5.974 0.979
0.466 1.125 2.075
0.466 4.849 0.447
0.826 8.360 2.555
0.826 9.563 5.010
1.989 2.386 5.010
1.989 3.588 2.555
2.350 7.100 0.447
2.350 10.823 2.075
3.281 1.125 2.968
3.281 4.849 4.596
3.641 8.360 2.488
3.641 9.563 0.033
4.804 2.386 0.033
4.804 3.588 2.488
5.165 7.100 4.596
5.165 10.823 2.968
```

# TaSbO4
Simulated PXRD pattern, copper Kα. Input: a PBE-relaxed structure.

Top 12 peaks for 2θ = 10–90°, in order of rising 2θ:
- 2θ = 16.32°, intensity 100
- 2θ = 21.70°, intensity 40
- 2θ = 29.20°, intensity 15
- 2θ = 32.61°, intensity 11
- 2θ = 32.98°, intensity 28
- 2θ = 33.14°, intensity 29
- 2θ = 33.46°, intensity 25
- 2θ = 34.26°, intensity 22
- 2θ = 40.54°, intensity 30
- 2θ = 41.36°, intensity 10
- 2θ = 52.99°, intensity 10
- 2θ = 54.10°, intensity 22

Crystal structure
```
TaSbO4
1.0
6.233 0.000 0.000
0.000 10.468 0.000
0.000 0.000 6.355
Ta Sb O
4 4 16
Cartesian
1.558 0.000 0.033
1.558 5.234 3.144
4.675 0.000 6.322
4.675 5.234 3.211
0.123 2.617 1.589
2.994 7.851 1.589
3.240 2.617 4.766
6.110 7.851 4.766
0.114 5.450 4.474
0.114 10.253 5.059
1.527 7.199 2.864
1.527 8.503 0.313
1.590 1.965 0.313
1.590 3.269 2.864
3.003 0.216 5.059
3.003 5.018 4.474
3.230 5.450 1.881
3.230 10.253 1.296
4.644 7.199 3.490
4.644 8.503 6.042
4.706 1.965 6.042
4.706 3.269 3.490
6.120 0.216 1.296
6.120 5.018 1.881
```

# TaTiSbO6
Simulated PXRD pattern, copper Kα. Input: a PBE-relaxed structure.

Top 12 peaks for 2θ = 10–90°, in order of rising 2θ:
- 2θ = 18.88°, intensity 80
- 2θ = 19.41°, intensity 40
- 2θ = 24.80°, intensity 26
- 2θ = 28.81°, intensity 81
- 2θ = 28.96°, intensity 78
- 2θ = 29.29°, intensity 87
- 2θ = 29.41°, intensity 86
- 2θ = 32.19°, intensity 100
- 2θ = 36.69°, intensity 31
- 2θ = 46.79°, intensity 29
- 2θ = 49.59°, intensity 40
- 2θ = 55.92°, intensity 37

Crystal structure
```
TaTiSbO6
1.0
4.899 0.000 0.000
-0.037 5.563 0.000
-2.440 -0.214 8.344
Ta Ti Sb O
2 2 2 12
Cartesian
0.038 1.759 1.260
2.384 3.590 7.084
0.073 0.793 7.064
2.349 4.556 1.279
-0.271 4.107 4.173
2.694 1.243 4.171
-0.813 2.222 3.036
-0.800 0.331 5.315
-1.536 1.730 7.817
-0.949 4.498 7.836
1.020 0.305 1.881
1.434 3.126 1.857
0.988 2.223 6.487
1.402 5.044 6.462
3.371 0.851 0.508
3.958 3.619 0.527
3.222 5.019 3.029
3.236 3.127 5.308
```

# Tb9Sb5O5
Simulated PXRD pattern, copper Kα. Input: a PBE-relaxed structure.

Top 12 peaks for 2θ = 10–90°, in order of rising 2θ:
- 2θ = 28.43°, intensity 44
- 2θ = 30.04°, intensity 69
- 2θ = 30.19°, intensity 100
- 2θ = 34.95°, intensity 94
- 2θ = 40.65°, intensity 63
- 2θ = 41.84°, intensity 19
- 2θ = 50.16°, intensity 19
- 2θ = 51.36°, intensity 54
- 2θ = 58.85°, intensity 18
- 2θ = 59.58°, intensity 26
- 2θ = 67.51°, intensity 34
- 2θ = 70.31°, intensity 17

Crystal structure
```
Tb9Sb5O5
1.0
9.925 0.000 0.000
0.000 9.925 0.000
0.000 0.000 8.926
Tb Sb O
18 10 10
Cartesian
0.239 3.300 0.013
0.442 8.481 5.874
1.443 5.405 3.052
1.663 0.239 0.013
2.481 2.481 5.995
3.300 4.724 0.013
3.519 9.482 3.052
4.520 6.406 5.874
4.724 1.663 0.013
5.201 8.262 8.913
5.405 3.519 3.052
6.406 0.442 5.874
6.625 5.201 8.913
7.443 7.443 2.931
8.262 9.686 8.913
8.481 4.520 5.874
9.482 1.443 3.052
9.686 6.625 8.913
0.540 8.393 2.692
1.532 5.503 6.233
2.481 2.481 2.838
3.430 9.384 6.233
4.422 6.494 2.692
5.503 3.430 6.233
6.494 0.540 2.692
7.443 7.443 6.087
8.393 4.422 2.692
9.384 1.532 6.233
0.249 8.636 8.148
1.289 5.211 0.777
2.481 2.481 8.351
3.673 9.676 0.777
4.714 6.251 8.148
5.211 3.673 0.777
6.251 0.249 8.148
7.443 7.443 0.574
8.636 4.714 8.148
9.676 1.289 0.777
```

# SbTe3O8
Simulated PXRD pattern, copper Kα. Input: a PBE-relaxed structure.

Top 12 peaks for 2θ = 10–90°, in order of rising 2θ:
- 2θ = 18.97°, intensity 26
- 2θ = 26.95°, intensity 100
- 2θ = 29.16°, intensity 17
- 2θ = 31.22°, intensity 31
- 2θ = 33.17°, intensity 14
- 2θ = 40.12°, intensity 9
- 2θ = 44.73°, intensity 32
- 2θ = 51.69°, intensity 7
- 2θ = 53.00°, intensity 26
- 2θ = 60.45°, intensity 7
- 2θ = 63.97°, intensity 8
- 2θ = 86.63°, intensity 10

Crystal structure
```
SbTe3O8
1.0
-5.730 5.730 5.730
5.730 -5.730 5.730
5.730 5.730 -5.730
Sb Te O
4 12 32
Cartesian
2.865 2.865 -2.865
2.865 -2.865 2.865
-2.865 2.865 2.865
2.865 2.865 2.865
2.865 0.518 0.000
5.730 2.865 -0.518
0.518 0.000 2.865
6.248 0.000 2.865
0.000 2.865 0.518
2.865 -0.518 5.730
2.865 6.248 0.000
5.730 2.865 5.212
-0.518 5.730 2.865
5.212 5.730 2.865
0.000 2.865 6.248
2.865 5.212 5.730
4.747 0.983 -0.983
6.713 -0.983 0.983
2.050 1.677 -1.297
7.027 2.050 -1.677
1.677 -1.297 2.050
0.983 0.983 0.983
4.433 3.680 -1.677
7.407 -1.297 3.680
3.680 -1.677 4.433
3.680 1.677 1.297
7.407 1.297 2.050
-1.297 2.050 1.677
0.983 -0.983 4.747
1.677 1.297 3.680
1.297 3.680 1.677
2.050 -1.677 7.027
-0.983 4.747 0.983
0.983 6.713 -0.983
3.680 7.407 -1.297
4.433 2.050 4.053
4.053 4.433 2.050
-0.983 0.983 6.713
7.027 3.680 4.053
-1.677 4.433 3.680
2.050 4.053 4.433
2.050 7.407 1.297
-1.677 7.027 2.050
1.297 2.050 7.407
4.747 4.747 4.747
4.053 7.027 3.680
-1.297 3.680 7.407
3.680 4.053 7.027
```

# Ti5Sb5O17
Simulated PXRD pattern, copper Kα. Input: a PBE-relaxed structure.

Top 12 peaks for 2θ = 10–90°, in order of rising 2θ:
- 2θ = 18.21°, intensity 15
- 2θ = 21.28°, intensity 18
- 2θ = 21.40°, intensity 31
- 2θ = 25.47°, intensity 16
- 2θ = 27.35°, intensity 23
- 2θ = 28.08°, intensity 25
- 2θ = 28.66°, intensity 100
- 2θ = 31.97°, intensity 42
- 2θ = 32.65°, intensity 35
- 2θ = 35.11°, intensity 15
- 2θ = 43.59°, intensity 16
- 2θ = 47.77°, intensity 16

Crystal structure
```
Ti5Sb5O17
1.0
4.232 0.000 0.000
0.000 5.486 0.000
-3.217 0.000 31.775
Ti Sb O
10 10 34
Cartesian
0.000 1.098 0.000
-1.608 4.388 15.887
-1.542 1.505 18.554
0.067 3.981 2.667
0.593 1.358 5.476
-1.015 4.128 21.363
-0.952 1.460 24.163
0.657 4.027 8.276
0.750 1.364 11.092
-0.858 4.122 26.980
-2.664 1.209 28.562
-1.055 4.277 12.675
0.238 1.570 14.324
-1.370 3.916 30.212
1.954 1.590 2.378
0.345 3.896 18.265
1.401 1.113 21.619
3.009 4.373 5.731
3.121 1.225 8.784
1.513 4.261 24.671
-1.346 0.177 14.382
-2.954 5.309 30.269
-2.882 2.391 30.265
-1.273 3.095 14.378
-1.239 0.119 17.372
0.369 5.367 1.485
0.468 2.519 1.313
-1.140 2.967 17.200
-1.440 0.493 20.210
0.169 4.993 4.322
-1.500 0.044 22.793
0.108 5.442 6.906
0.471 2.260 3.853
-1.138 3.226 19.741
-1.349 2.673 22.536
0.260 2.814 6.649
-1.304 0.025 25.481
0.312 2.577 9.496
-1.296 2.909 25.384
0.305 5.461 9.593
0.434 2.696 12.522
-1.175 2.790 28.409
0.544 0.154 12.654
-1.064 5.332 28.542
2.458 1.194 0.165
0.850 4.292 16.053
0.883 1.848 18.538
2.492 3.639 2.651
2.379 0.996 5.503
0.771 4.490 21.390
0.825 1.389 24.054
2.433 4.097 8.166
2.581 1.315 10.819
0.972 4.171 26.707
```